(1)
# Ho2AgGe2
Theoretical powder diffraction line list, copper Kα. Input: a GGA-PBE-relaxed structure.
Neutral-atom scattering factors, no anomalous dispersion.

Main lines, in order of falling intensity (15 to 90 degrees two-theta):
- 2θ = 35.21°, I = 1000
- 2θ = 32.82°, I = 474
- 2θ = 39.96°, I = 337
- 2θ = 42.66°, I = 217
- 2θ = 59.88°, I = 201
- 2θ = 57.53°, I = 166
- 2θ = 27.96°, I = 123
- 2θ = 73.28°, I = 118
- 2θ = 59.10°, I = 116
- 2θ = 35.59°, I = 107

Cell and atoms:
```
Ho2AgGe2
1.0
7.134 0.000 0.000
0.000 7.134 0.000
0.000 0.000 8.477
Ho Ag Ge
8 4 8
direct
0.175 0.325 0.000 Ho
0.175 0.325 0.500 Ho
0.325 0.825 0.000 Ho
0.325 0.825 0.500 Ho
0.675 0.175 0.000 Ho
0.675 0.175 0.500 Ho
0.825 0.675 0.000 Ho
0.825 0.675 0.500 Ho
0.000 0.000 0.250 Ag
0.000 0.000 0.750 Ag
0.500 0.500 0.250 Ag
0.500 0.500 0.750 Ag
0.126 0.626 0.250 Ge
0.126 0.626 0.750 Ge
0.374 0.126 0.250 Ge
0.374 0.126 0.750 Ge
0.626 0.874 0.250 Ge
0.626 0.874 0.750 Ge
0.874 0.374 0.250 Ge
0.874 0.374 0.750 Ge
```

***

(2)
# LiNb3Bi4O14
Theoretical powder diffraction line list, copper Kα. Input: a GGA-PBE-relaxed structure.
Neutral-atom scattering factors, no anomalous dispersion.

Main lines, in order of falling intensity (15 to 90 degrees two-theta):
- 2θ = 28.83°, I = 1000
- 2θ = 33.54°, I = 297
- 2θ = 30.12°, I = 260
- 2θ = 47.88°, I = 205
- 2θ = 57.10°, I = 151
- 2θ = 34.32°, I = 142
- 2θ = 27.32°, I = 141
- 2θ = 49.58°, I = 131
- 2θ = 47.33°, I = 101
- 2θ = 59.73°, I = 100

Cell and atoms:
```
LiNb3Bi4O14
1.0
6.559 -3.841 0.000
6.559 3.841 0.000
-2.439 0.000 11.870
Li Nb Bi O
2 6 8 28
direct
0.035 0.965 0.750 Li
0.965 0.035 0.250 Li
0.125 0.373 0.761 Nb
0.364 0.636 0.250 Nb
0.373 0.125 0.261 Nb
0.627 0.875 0.739 Nb
0.636 0.364 0.750 Nb
0.875 0.627 0.239 Nb
0.007 0.228 0.006 Bi
0.228 0.007 0.506 Bi
0.243 0.525 0.527 Bi
0.475 0.757 0.973 Bi
0.525 0.243 0.027 Bi
0.757 0.475 0.473 Bi
0.772 0.993 0.494 Bi
0.993 0.772 0.994 Bi
0.053 0.353 0.587 O
0.059 0.728 0.217 O
0.061 0.345 0.217 O
0.078 0.885 0.590 O
0.115 0.922 0.910 O
0.228 0.352 0.917 O
0.272 0.941 0.283 O
0.345 0.061 0.717 O
0.352 0.228 0.417 O
0.352 0.427 0.731 O
0.353 0.053 0.087 O
0.353 0.638 0.083 O
0.362 0.647 0.417 O
0.427 0.352 0.231 O
0.573 0.648 0.769 O
0.638 0.353 0.583 O
0.647 0.362 0.917 O
0.647 0.947 0.913 O
0.648 0.573 0.269 O
0.648 0.772 0.583 O
0.655 0.939 0.283 O
0.728 0.059 0.717 O
0.772 0.648 0.083 O
0.885 0.078 0.090 O
0.922 0.115 0.410 O
0.939 0.655 0.783 O
0.941 0.272 0.783 O
0.947 0.647 0.413 O
```

***

(3)
# Li2Sc2Al2PdPt
Theoretical powder diffraction line list, copper Kα. Input: a GGA-PBE-relaxed structure.
Neutral-atom scattering factors, no anomalous dispersion.

Main lines, in order of falling intensity (15 to 90 degrees two-theta):
- 2θ = 24.27°, I = 1000
- 2θ = 40.16°, I = 962
- 2θ = 47.48°, I = 497
- 2θ = 72.98°, I = 319
- 2θ = 63.89°, I = 204
- 2θ = 28.10°, I = 164
- 2θ = 58.10°, I = 160
- 2θ = 78.21°, I = 153
- 2θ = 86.74°, I = 102
- 2θ = 65.76°, I = 68

Cell and atoms:
```
Li2Sc2Al2PdPt
1.0
4.491 0.000 0.000
0.000 4.491 0.000
0.000 0.000 6.351
Li Sc Al Pd Pt
2 2 2 1 1
direct
0.000 0.000 0.000 Li
0.500 0.500 0.500 Li
0.000 0.500 0.249 Sc
0.500 0.000 0.751 Sc
0.000 0.500 0.751 Al
0.500 0.000 0.249 Al
0.000 0.000 0.500 Pd
0.500 0.500 0.000 Pt
```

***

Q: Which formula does entry 1 have?
A: Ho2AgGe2

***

Q: Number 2 is which compound?
A: LiNb3Bi4O14

***

Q: Which formula does entry 1 have?
A: Ho2AgGe2